(1)
Calculated X-ray powder pattern
Compound: Be4AlCu
Radiation: Cu Kα (weighted mean of Kα1 and Kα2)
Structure: DFT lattice parameters and positions (PBE)
Neutral-atom scattering factors, no anomalous dispersion.

Most intense lines, 2θ = 10–90°, sorted by position:
Position (°2θ)  d [Å]  intensity
25.20  3.534  100
29.18  3.061  24
41.74  2.164  91
49.38  1.846  85
51.73  1.767  8
60.50  1.530  8
66.59  1.404  18
68.56  1.369  7
76.19  1.249  28
81.75  1.178  24

Cell and atoms:
a b c (Å): 4.328 4.328 4.328
angles (deg): 60.00 60.00 60.00
Atoms (fractional coordinates):
1 Be 0.125 0.125 0.125
2 Be 0.125 0.125 0.625
3 Be 0.125 0.625 0.125
4 Be 0.625 0.125 0.125
5 Al 0.500 0.500 0.500
6 Cu 0.750 0.750 0.750

***

(2)
Calculated X-ray powder pattern
Compound: Be5Al4Fe2
Radiation: Cu Kα (weighted mean of Kα1 and Kα2)
Structure: DFT lattice parameters and positions (PBE)
Neutral-atom scattering factors, no anomalous dispersion.

Most intense lines, 2θ = 10–90°, sorted by position:
Position (°2θ)  d [Å]  intensity
23.54  3.780  100
27.85  3.204  47
29.42  3.036  16
41.20  2.191  33
41.47  2.177  64
45.88  1.978  36
46.82  1.940  40
48.00  1.896  46
48.34  1.883  18
49.62  1.837  32

Cell and atoms:
a b c (Å): 4.363 4.363 7.811
angles (deg): 102.56 102.56 60.28
Atoms (fractional coordinates):
1 Be 0.000 0.000 0.000
2 Be 0.000 0.500 0.000
3 Be 0.000 0.500 0.500
4 Be 0.500 0.000 0.000
5 Be 0.500 0.000 0.500
6 Al 0.083 0.083 0.695
7 Al 0.448 0.448 0.803
8 Al 0.552 0.552 0.197
9 Al 0.917 0.917 0.305
10 Fe 0.229 0.229 0.247
11 Fe 0.771 0.771 0.753

***

(3)
Calculated X-ray powder pattern
Compound: BeAlH5
Radiation: Cu Kα (weighted mean of Kα1 and Kα2)
Structure: DFT lattice parameters and positions (PBE)
Neutral-atom scattering factors, no anomalous dispersion.

Most intense lines, 2θ = 10–90°, sorted by position:
Position (°2θ)  d [Å]  intensity
14.16  6.254  100
18.60  4.770  10
27.91  3.196  51
28.55  3.127  23
31.34  2.854  38
31.52  2.838  39
40.21  2.243  16
40.33  2.236  10
40.50  2.227  15
44.50  2.036  14

Cell and atoms:
a b c (Å): 4.770 4.306 6.254
angles (deg): 90.00 90.59 90.00
Atoms (fractional coordinates):
1 Be 0.002 0.000 0.377
2 Be 0.998 0.500 0.623
3 Al 0.243 0.760 0.000
4 Al 0.757 0.260 0.000
5 H 0.001 0.510 0.098
6 H 0.110 0.236 0.515
7 H 0.240 0.591 0.748
8 H 0.247 0.932 0.251
9 H 0.499 0.010 0.913
10 H 0.501 0.510 0.087
11 H 0.753 0.432 0.749
12 H 0.760 0.091 0.252
13 H 0.890 0.736 0.485
14 H 0.999 0.010 0.902

***

(4)
Calculated X-ray powder pattern
Compound: BeAlH5
Radiation: Cu Kα (weighted mean of Kα1 and Kα2)
Structure: DFT lattice parameters and positions (PBE)
Neutral-atom scattering factors, no anomalous dispersion.

Most intense lines, 2θ = 10–90°, sorted by position:
Position (°2θ)  d [Å]  intensity
20.66  4.299  100
25.02  3.560  29
31.12  2.874  54
33.22  2.697  26
40.79  2.212  24
41.57  2.172  23
42.03  2.150  11
42.89  2.109  15
44.18  2.050  14
48.06  1.893  21

Cell and atoms:
a b c (Å): 4.663 4.663 6.307
angles (deg): 106.70 106.70 99.53
Atoms (fractional coordinates):
1 Be 0.170 0.830 0.750
2 Be 0.830 0.170 0.250
3 Al 0.500 0.500 0.000
4 Al 0.500 0.500 0.500
5 H 0.142 0.238 0.410
6 H 0.185 0.625 0.881
7 H 0.238 0.142 0.910
8 H 0.375 0.815 0.619
9 H 0.408 0.592 0.250
10 H 0.592 0.408 0.750
11 H 0.625 0.185 0.381
12 H 0.762 0.858 0.090
13 H 0.815 0.375 0.119
14 H 0.858 0.762 0.590